No. 1
This entry pairs a crystal structure of Sc3InP4 with its calculated powder X-ray diffraction pattern. Radiation: Cu Kα, 1.54184 Å. Structure: a DFT-relaxed cell (PBE, the Materials Project).
Lines closer than 0.1° are merged.

Structure:
```
8
Lattice="2.097 1.211 13.726 -2.097 1.211 13.726 0.000 -2.422 13.726" Properties=species:S:1:pos:R:3 pbc="T T T"
Sc 0.000 0.000 0.000
Sc 0.000 0.000 10.291
Sc 0.000 0.000 20.603
In 0.000 0.000 30.872
P 0.000 0.000 7.714
P 0.000 0.000 18.033
P 0.000 0.000 28.292
P 0.000 0.000 38.603
```

Main lines, by angle (10 to 80 degrees two-theta):
2θ/deg  Rel. int.
12.90  7
24.60  5
26.00  100
30.11  10
43.10  63
51.03  42
62.59  10
68.91  8
69.00  8
79.05  15

=====

No. 2
This entry pairs a crystal structure of PaInRu2 with its calculated powder X-ray diffraction pattern. Radiation: Cu Kα, 1.54184 Å. Structure: a DFT-relaxed cell (PBE, the Materials Project).
Lines closer than 0.1° are merged.

Structure:
```
4
Lattice="0.000 3.347 3.347 3.347 0.000 3.347 3.347 3.347 0.000" Properties=species:S:1:pos:R:3 pbc="T T T"
Pa 0.000 0.000 0.000
In 3.347 3.347 3.347
Ru 1.674 1.674 1.674
Ru 5.021 5.021 5.021
```

Main lines, by angle (10 to 80 degrees two-theta):
2θ/deg  Rel. int.
23.01  9
26.63  7
38.02  100
44.91  5
47.02  2
54.86  17
60.26  2
62.00  3
68.69  35
73.51  2

=====

No. 3
This entry pairs a crystal structure of PaInTc2 with its calculated powder X-ray diffraction pattern. Radiation: Cu Kα, 1.54184 Å. Structure: a DFT-relaxed cell (PBE, the Materials Project).
Lines closer than 0.1° are merged.

Structure:
```
4
Lattice="0.000 3.350 3.350 3.350 0.000 3.350 3.350 3.350 0.000" Properties=species:S:1:pos:R:3 pbc="T T T"
Pa 0.000 0.000 0.000
In 3.350 3.350 3.350
Tc 1.675 1.675 1.675
Tc 5.025 5.025 5.025
```

Main lines, by angle (10 to 80 degrees two-theta):
2θ/deg  Rel. int.
22.99  9
26.61  8
37.99  100
44.87  5
46.98  3
54.81  17
60.21  2
61.94  3
68.62  35
73.44  2

=====

No. 4
This entry pairs a crystal structure of In3Pb with its calculated powder X-ray diffraction pattern. Radiation: Cu Kα, 1.54184 Å. Structure: a DFT-relaxed cell (PBE, the Materials Project).
Lines closer than 0.1° are merged.

Structure:
```
8
Lattice="6.935 0.000 0.000 -3.467 6.005 0.000 0.000 0.000 5.554" Properties=species:S:1:pos:R:3 pbc="T T T"
In 0.000 1.975 1.389
In -1.757 5.018 1.389
In 1.710 0.987 4.166
In 1.757 5.018 1.389
In 5.224 0.987 4.166
In 3.467 4.031 4.166
Pb 0.000 4.004 4.166
Pb 3.467 2.002 1.389
```

Main lines, by angle (10 to 80 degrees two-theta):
2θ/deg  Rel. int.
21.80  8
29.75  24
32.23  26
33.94  100
44.43  16
52.81  19
58.57  20
63.23  22
64.27  15
71.42  4

=====

No. 5
This entry pairs a crystal structure of In3Pb with its calculated powder X-ray diffraction pattern. Radiation: Cu Kα, 1.54184 Å. Structure: a DFT-relaxed cell (PBE, the Materials Project).
Lines closer than 0.1° are merged.

Structure:
```
4
Lattice="0.000 3.884 3.884 3.884 0.000 3.884 3.884 3.884 0.000" Properties=species:S:1:pos:R:3 pbc="T T T"
In 0.000 0.000 0.000
In 1.942 1.942 1.942
In 5.825 5.825 5.825
Pb 3.884 3.884 3.884
```

Main lines, by angle (10 to 80 degrees two-theta):
2θ/deg  Rel. int.
19.80  5
22.90  3
32.61  100
38.44  3
46.78  18
51.27  2
52.70  1
58.19  38
68.31  12
77.77  16

=====

No. 6
This entry pairs a crystal structure of In4Pb with its calculated powder X-ray diffraction pattern. Radiation: Cu Kα, 1.54184 Å. Structure: a DFT-relaxed cell (PBE, the Materials Project).
Lines closer than 0.1° are merged.

Structure:
```
5
Lattice="2.839 -1.718 0.000 2.839 1.718 0.000 -0.843 0.000 14.762" Properties=species:S:1:pos:R:3 pbc="T T T"
In 0.317 0.000 4.369
In 0.934 0.000 13.312
In 3.900 0.000 1.450
In 4.517 0.000 10.393
Pb 2.417 0.000 7.381
```

Main lines, by angle (10 to 80 degrees two-theta):
2θ/deg  Rel. int.
30.27  40
32.48  100
36.06  50
38.95  20
50.49  9
52.67  17
55.55  15
59.98  11
62.59  20
63.88  14